Entry 1:
BaWN3: calculated powder X-ray diffraction pattern (copper Kα), based on a DFT-relaxed cell (GGA-PBE, the Materials Project).
Lines closer than 0.1° are merged.

Cell and atoms:
```
BaWN3
1.0
6.9571 -1.9672 0.0000
6.9571 1.9672 0.0000
-1.7195 0.0000 6.3451
Ba W N
2 2 6
direct
0.1059 0.1059 0.3144 Ba
0.8941 0.8941 0.6856 Ba
0.3395 0.3395 0.1206 W
0.6605 0.6605 0.8794 W
0.1906 0.1906 0.9770 N
0.3542 0.3542 0.4019 N
0.4665 0.4665 0.0552 N
0.5335 0.5335 0.9448 N
0.6458 0.6458 0.5980 N
0.8094 0.8094 0.0230 N
```

Peak list (10 most intense, 2θ from 10° to 90°, by intensity)
two_theta  I_rel
28.38  100
26.56  57
31.10  56
27.78  45
13.96  28
46.15  26
48.40  21
47.72  17
34.27  17
54.73  16

Entry 2:
BaWN3: calculated powder X-ray diffraction pattern (copper Kα), based on a DFT-relaxed cell (GGA-PBE, the Materials Project).
Lines closer than 0.1° are merged.

Cell and atoms:
```
BaWN3
1.0
7.6991 0.0000 0.0000
0.0000 5.7880 0.0000
-6.9383 0.0000 7.8027
Ba W N
4 4 12
direct
0.2144 0.2404 0.3734 Ba
0.2144 0.2596 0.8734 Ba
0.7856 0.7404 0.1266 Ba
0.7856 0.7596 0.6266 Ba
0.3412 0.7383 0.6378 W
0.3412 0.7617 0.1378 W
0.6587 0.2383 0.8622 W
0.6587 0.2617 0.3622 W
0.0817 0.5646 0.5692 N
0.0817 0.9354 0.0692 N
0.2906 0.7405 0.9437 N
0.2906 0.7595 0.4437 N
0.3752 0.0589 0.7102 N
0.3752 0.4411 0.2102 N
0.6248 0.5589 0.7898 N
0.6248 0.9411 0.2898 N
0.7094 0.2405 0.5563 N
0.7094 0.2595 0.0563 N
0.9183 0.0646 0.9308 N
0.9183 0.4354 0.4308 N
```

Peak list (10 most intense, 2θ from 10° to 90°, by intensity)
two_theta  I_rel
27.57  100
27.93  43
30.90  38
23.22  34
34.83  28
34.36  23
52.95  20
39.00  20
50.15  17
31.09  16

Entry 3:
Ba3Y2N4: calculated powder X-ray diffraction pattern (copper Kα), based on a DFT-relaxed cell (GGA-PBE, the Materials Project).
Lines closer than 0.1° are merged.

Cell and atoms:
```
Ba3Y2N4
1.0
5.8307 -5.2934 0.0000
5.8307 5.2934 0.0000
-0.2419 0.0000 6.9692
Ba Y N
6 4 8
direct
0.0736 0.9264 0.7500 Ba
0.1960 0.5825 0.4151 Ba
0.4175 0.8040 0.0849 Ba
0.5825 0.1960 0.9151 Ba
0.8040 0.4175 0.5849 Ba
0.9264 0.0736 0.2500 Ba
0.1383 0.3497 0.9218 Y
0.3497 0.1383 0.4218 Y
0.6503 0.8617 0.5782 Y
0.8617 0.6503 0.0782 Y
0.1295 0.2718 0.5993 N
0.1402 0.6365 0.0063 N
0.2718 0.1295 0.0993 N
0.3635 0.8598 0.4937 N
0.6365 0.1402 0.5063 N
0.7282 0.8705 0.9007 N
0.8598 0.3635 0.9937 N
0.8705 0.7282 0.4007 N
```

Peak list (10 most intense, 2θ from 10° to 90°, by intensity)
two_theta  I_rel
26.36  100
27.23  80
29.50  53
27.78  44
30.34  40
52.42  37
35.16  32
39.39  29
34.03  26
54.19  24

Entry 4:
Ba3YN3: calculated powder X-ray diffraction pattern (copper Kα), based on a DFT-relaxed cell (GGA-PBE, the Materials Project).
Lines closer than 0.1° are merged.

Cell and atoms:
```
Ba3YN3
1.0
8.6216 0.0000 0.0000
-4.3108 7.4665 0.0000
0.0000 0.0000 5.8600
Ba Y N
6 2 6
direct
0.0871 0.3399 0.2500 Ba
0.2528 0.9129 0.2500 Ba
0.3399 0.2528 0.7500 Ba
0.6601 0.7472 0.2500 Ba
0.7472 0.0871 0.7500 Ba
0.9129 0.6601 0.7500 Ba
0.3333 0.6667 0.7500 Y
0.6667 0.3333 0.2500 Y
0.1188 0.3792 0.7500 N
0.2604 0.8812 0.7500 N
0.3792 0.2604 0.2500 N
0.6208 0.7396 0.7500 N
0.7396 0.1188 0.2500 N
0.8812 0.6208 0.2500 N
```

Peak list (10 most intense, 2θ from 10° to 90°, by intensity)
two_theta  I_rel
28.35  100
25.65  78
30.51  48
23.83  33
31.71  32
54.24  32
43.71  30
44.58  24
80.29  20
55.92  19

Entry 5:
Ba3Y3N5: calculated powder X-ray diffraction pattern (copper Kα), based on a DFT-relaxed cell (GGA-PBE, the Materials Project).
Lines closer than 0.1° are merged.

Cell and atoms:
```
Ba3Y3N5
1.0
6.6117 0.0000 0.0000
-1.9212 8.6271 0.0000
-2.6390 -3.8195 8.6845
Ba Y N
6 6 10
direct
0.1730 0.3214 0.3801 Ba
0.1937 0.1279 0.7158 Ba
0.2578 0.9343 0.0936 Ba
0.7422 0.0657 0.9064 Ba
0.8063 0.8721 0.2842 Ba
0.8270 0.6786 0.6199 Ba
0.2156 0.4677 0.0851 Y
0.3693 0.6318 0.7895 Y
0.3873 0.8061 0.4700 Y
0.6127 0.1939 0.5300 Y
0.6307 0.3682 0.2105 Y
0.7844 0.5323 0.9149 Y
0.1256 0.5788 0.9039 N
0.2539 0.7773 0.6512 N
0.2663 0.9967 0.3854 N
0.2760 0.2132 0.0279 N
0.4950 0.4069 0.6776 N
0.5050 0.5931 0.3224 N
0.7240 0.7868 0.9721 N
0.7337 0.0033 0.6146 N
0.7461 0.2227 0.3488 N
0.8744 0.4212 0.0961 N
```

Peak list (10 most intense, 2θ from 10° to 90°, by intensity)
two_theta  I_rel
27.92  100
28.94  80
28.35  80
26.33  41
32.00  35
27.62  31
29.74  30
31.25  29
35.32  24
51.20  23

Entry 6:
Ba3Y2N4: calculated powder X-ray diffraction pattern (copper Kα), based on a DFT-relaxed cell (GGA-PBE, the Materials Project).
Lines closer than 0.1° are merged.

Cell and atoms:
```
Ba3Y2N4
1.0
6.5843 0.0000 0.0000
0.0000 12.5216 0.0000
0.0000 0.0000 10.8439
Ba Y N
12 8 16
direct
0.1659 0.1660 0.0989 Ba
0.1659 0.3340 0.4011 Ba
0.2500 0.0000 0.4369 Ba
0.2500 0.5000 0.0631 Ba
0.3341 0.6660 0.4011 Ba
0.3341 0.8340 0.0989 Ba
0.6659 0.1660 0.9011 Ba
0.6659 0.3340 0.5989 Ba
0.7500 0.0000 0.5631 Ba
0.7500 0.5000 0.9369 Ba
0.8341 0.6660 0.5989 Ba
0.8341 0.8340 0.9011 Ba
0.2165 0.2500 0.7500 Y
0.2500 0.0000 0.7751 Y
0.2500 0.5000 0.7249 Y
0.2835 0.7500 0.7500 Y
0.7165 0.2500 0.2500 Y
0.7500 0.0000 0.2249 Y
0.7500 0.5000 0.2751 Y
0.7835 0.7500 0.2500 Y
0.0563 0.1280 0.8687 N
0.0563 0.3720 0.6313 N
0.0718 0.6211 0.8419 N
0.0718 0.8789 0.6581 N
0.4282 0.1211 0.6581 N
0.4282 0.3789 0.8419 N
0.4437 0.6280 0.6313 N
0.4437 0.8720 0.8687 N
0.5563 0.1280 0.1313 N
0.5563 0.3720 0.3687 N
0.5718 0.6211 0.1581 N
0.5718 0.8789 0.3419 N
0.9282 0.1211 0.3419 N
0.9282 0.3789 0.1581 N
0.9437 0.6280 0.3687 N
0.9437 0.8720 0.1313 N
```

Peak list (10 most intense, 2θ from 10° to 90°, by intensity)
two_theta  I_rel
28.16  100
30.24  75
22.83  71
27.09  34
28.02  22
31.80  20
35.71  18
32.74  17
52.50  17
47.23  15

Entry 7:
BaZn2N2: calculated powder X-ray diffraction pattern (copper Kα), based on a DFT-relaxed cell (GGA-PBE, the Materials Project).
Lines closer than 0.1° are merged.

Cell and atoms:
```
BaZn2N2
1.0
3.6655 0.0000 0.0000
-1.8328 3.1744 0.0000
0.0000 0.0000 6.5990
Ba Zn N
1 2 2
direct
0.0000 0.0000 0.0000 Ba
0.3333 0.6667 0.3799 Zn
0.6667 0.3333 0.6201 Zn
0.3333 0.6667 0.7089 N
0.6667 0.3333 0.2911 N
```

Peak list (10 most intense, 2θ from 10° to 90°, by intensity)
two_theta  I_rel
31.27  100
39.39  43
49.75  30
66.39  16
59.94  15
63.56  13
81.55  13
50.48  12
41.03  12
65.23  9

Entry 8:
Ba2ZnN2: calculated powder X-ray diffraction pattern (copper Kα), based on a DFT-relaxed cell (GGA-PBE, the Materials Project).
Lines closer than 0.1° are merged.

Cell and atoms:
```
Ba2ZnN2
1.0
-2.1105 2.1105 6.5275
2.1105 -2.1105 6.5275
2.1105 2.1105 -6.5275
Ba Zn N
2 1 2
direct
0.1554 0.1554 0.0000 Ba
0.8446 0.8446 0.0000 Ba
0.5000 0.5000 0.0000 Zn
0.3585 0.3585 0.0000 N
0.6415 0.6415 0.0000 N
```

Peak list (10 most intense, 2θ from 10° to 90°, by intensity)
two_theta  I_rel
29.48  100
29.94  69
52.87  39
42.85  25
52.01  23
61.18  14
41.50  11
85.31  11
70.56  11
85.99  10

Entry 9:
BaZn2N2: calculated powder X-ray diffraction pattern (copper Kα), based on a DFT-relaxed cell (GGA-PBE, the Materials Project).
Lines closer than 0.1° are merged.

Cell and atoms:
```
BaZn2N2
1.0
-3.3327 3.3327 4.1180
3.3327 -3.3327 4.1180
3.3327 3.3327 -4.1180
Ba Zn N
2 4 4
direct
0.2500 0.2500 0.0000 Ba
0.7500 0.7500 0.0000 Ba
0.1348 0.6348 0.7696 Zn
0.3652 0.1348 0.5000 Zn
0.6348 0.8652 0.5000 Zn
0.8652 0.3652 0.2304 Zn
0.1633 0.3367 0.5000 N
0.3367 0.8367 0.1735 N
0.6633 0.1633 0.8265 N
0.8367 0.6633 0.5000 N
```

Peak list (10 most intense, 2θ from 10° to 90°, by intensity)
two_theta  I_rel
28.79  100
42.91  40
34.63  39
31.93  27
63.12  25
59.88  24
43.98  17
63.36  16
26.75  15
18.83  12

Entry 10:
Ba5Zr2N6: calculated powder X-ray diffraction pattern (copper Kα), based on a DFT-relaxed cell (GGA-PBE, the Materials Project).
Lines closer than 0.1° are merged.

Cell and atoms:
```
Ba5Zr2N6
1.0
5.6606 -3.7686 0.0000
5.6606 3.7686 0.0000
-1.6463 0.0000 14.9080
Ba Zr N
10 4 12
direct
0.0922 0.9078 0.7500 Ba
0.1918 0.7335 0.0209 Ba
0.2665 0.8082 0.4791 Ba
0.2925 0.3981 0.2940 Ba
0.3981 0.2925 0.7940 Ba
0.6019 0.7075 0.2060 Ba
0.7075 0.6019 0.7060 Ba
0.7335 0.1918 0.5209 Ba
0.8082 0.2665 0.9791 Ba
0.9078 0.0922 0.2500 Ba
0.1522 0.4001 0.5773 Zr
0.4001 0.1522 0.0773 Zr
0.5999 0.8478 0.9227 Zr
0.8478 0.5999 0.4227 Zr
0.0457 0.2428 0.6628 N
0.0969 0.2971 0.4423 N
0.2428 0.0457 0.1628 N
0.2971 0.0969 0.9423 N
0.4262 0.4560 0.6206 N
0.4560 0.4262 0.1206 N
0.5440 0.5738 0.8794 N
0.5738 0.5440 0.3794 N
0.7029 0.9031 0.0577 N
0.7572 0.9543 0.8372 N
0.9031 0.7029 0.5577 N
0.9543 0.7572 0.3372 N
```

Peak list (10 most intense, 2θ from 10° to 90°, by intensity)
two_theta  I_rel
26.52  100
30.19  57
30.63  42
29.75  36
27.08  35
27.80  34
28.05  29
23.88  23
44.06  20
31.66  18

Entry 11:
Ba3ZrN3: calculated powder X-ray diffraction pattern (copper Kα), based on a DFT-relaxed cell (GGA-PBE, the Materials Project).
Lines closer than 0.1° are merged.

Cell and atoms:
```
Ba3ZrN3
1.0
8.5020 0.0000 0.0000
-4.2510 7.3630 0.0000
0.0000 0.0000 5.8637
Ba Zr N
6 2 6
direct
0.1016 0.3526 0.2500 Ba
0.2509 0.8984 0.2500 Ba
0.3526 0.2509 0.7500 Ba
0.6474 0.7491 0.2500 Ba
0.7491 0.1016 0.7500 Ba
0.8984 0.6474 0.7500 Ba
0.3333 0.6667 0.7500 Zr
0.6667 0.3333 0.2500 Zr
0.1340 0.3950 0.7500 N
0.2609 0.8660 0.7500 N
0.3950 0.2609 0.2500 N
0.6050 0.7391 0.7500 N
0.7391 0.1340 0.2500 N
0.8660 0.6050 0.2500 N
```

Peak list (10 most intense, 2θ from 10° to 90°, by intensity)
two_theta  I_rel
28.63  100
25.89  57
30.49  43
32.16  33
24.17  30
44.91  25
54.78  23
44.36  21
53.05  18
47.12  17

Entry 12:
Ba4ZrN4: calculated powder X-ray diffraction pattern (copper Kα), based on a DFT-relaxed cell (GGA-PBE, the Materials Project).
Lines closer than 0.1° are merged.

Cell and atoms:
```
Ba4ZrN4
1.0
6.9432 0.0000 0.0000
2.8464 6.3545 0.0000
1.9025 2.6123 9.5509
Ba Zr N
8 2 8
direct
0.2196 0.4716 0.1163 Ba
0.2309 0.9222 0.3377 Ba
0.2507 0.2654 0.5319 Ba
0.2795 0.0094 0.9353 Ba
0.7205 0.9906 0.0647 Ba
0.7493 0.7346 0.4681 Ba
0.7691 0.0778 0.6623 Ba
0.7804 0.5284 0.8837 Ba
0.2800 0.6560 0.7423 Zr
0.7200 0.3440 0.2577 Zr
0.0397 0.8166 0.8760 N
0.1075 0.6802 0.5789 N
0.4549 0.3432 0.8722 N
0.4801 0.8358 0.6874 N
0.5199 0.1642 0.3126 N
0.5451 0.6568 0.1278 N
0.8925 0.3198 0.4211 N
0.9603 0.1834 0.1240 N
```

Peak list (10 most intense, 2θ from 10° to 90°, by intensity)
two_theta  I_rel
28.02  100
28.24  64
30.64  54
28.13  52
32.05  50
27.78  36
34.69  30
53.06  19
47.19  19
34.23  19